Record 1
Diffraction record for TlFe4Pd15. The powder diffraction line list is computed, not measured: it uses a structure optimized by DFT (PBE) and a wavelength of 1.5418 Å.

Main lines, in order of rising 2θ (2θ from 10° to 90°):
- 2θ = 39.71°, I 100.0, (1 1 5)
- 2θ = 45.96°, I 33.8, (2 0 0)
- 2θ = 46.63°, I 13.9, (0 0 10)
- 2θ = 67.02°, I 10.6, (2 2 0)
- 2θ = 67.55°, I 17.8, (2 0 10)
- 2θ = 80.81°, I 24.0, (3 1 5)

a = 3.950 Å, b = 3.950 Å, c = 19.480 Å
α = 90.00°, β = 90.00°, γ = 90.00°
Space group P4/mmm (No. 123)
Asymmetric unit:
Tl: 0.000 0.000 0.000 [1 per cell]
Fe: 0.000 0.000 0.206 [2 per cell]
Fe: 0.000 0.000 0.401 [2 per cell]
Pd: 0.000 0.500 0.111 [4 per cell]
Pd: 0.000 0.500 0.305 [4 per cell]
Pd: 0.000 0.500 0.500 [2 per cell]
Pd: 0.500 0.500 0.000 [1 per cell]
Pd: 0.500 0.500 0.208 [2 per cell]
Pd: 0.500 0.500 0.403 [2 per cell]

***

Record 2
Diffraction record for Nd9Ho2Sc. The powder diffraction line list is computed, not measured: it uses a structure optimized by DFT (PBE) and a wavelength of 1.5418 Å.

Main lines, in order of rising 2θ (2θ from 10° to 90°):
- 2θ = 30.24°, I 100.0, (1 1 3)
- 2θ = 35.06°, I 50.6, (2 0 0)
- 2θ = 50.43°, I 35.9, (2 2 0)
- 2θ = 59.94°, I 42.5, (3 1 3)
- 2θ = 82.07°, I 17.3, (3 3 3)
- 2θ = 84.69°, I 16.1, (4 2 0)

a = 5.118 Å, b = 5.118 Å, c = 15.360 Å
α = 90.00°, β = 90.00°, γ = 90.00°
Space group P4/mmm (No. 123)
Asymmetric unit:
Nd: 0.000 0.000 0.000 [1 per cell]
Nd: 0.000 0.000 0.331 [2 per cell]
Nd: 0.000 0.500 0.163 [4 per cell]
Nd: 0.000 0.500 0.500 [2 per cell]
Ho: 0.500 0.500 0.331 [2 per cell]
Sc: 0.500 0.500 0.000 [1 per cell]

***

Record 3
Diffraction record for K4Tl4Sn. The powder diffraction line list is computed, not measured: it uses a structure optimized by DFT (PBE) and a wavelength of 1.5418 Å.

Main lines, in order of rising 2θ (2θ from 10° to 90°):
- 2θ = 13.28°, I 27.9, (1 0 1)
- 2θ = 20.64°, I 92.8, (1 1 2)
- 2θ = 23.88°, I 80.8, (0 0 4)
- 2θ = 34.02°, I 100.0, (2 0 4)
- 2θ = 40.12°, I 45.5, (1 1 6)
- 2θ = 60.89°, I 24.0, (2 2 8)

a = 7.460 Å, b = 7.460 Å, c = 14.889 Å
α = 90.00°, β = 90.00°, γ = 90.00°
Space group I-42m (No. 121)
Asymmetric unit:
K: 0.209 0.209 0.367 [8 per cell]
Tl: 0.218 0.218 0.124 [8 per cell]
Sn: 0.000 0.000 0.000 [2 per cell]